The following is a calculated X-ray diffraction stick pattern of MgMn2Fe2P4O16. It was derived from a structure optimized by DFT (GGA+U), using CuKα.
No peak broadening, texture or thermal motion is included.

Structure:
Cell: 5.0674 5.9795 10.1972 Å, 90.00 90.21 90.00°
Space group Pm (No. 6)
Inequivalent atoms, fractional coordinates:
Mg 0.0000 0.0000 0.0000 [1 per cell]
Mn 0.1850 0.5000 0.2471 [1 per cell]
Mn 0.5880 0.0000 0.1840 [1 per cell]
Fe 0.0111 0.0000 0.6607 [1 per cell]
Fe 0.5357 0.5000 0.7128 [1 per cell]
P 0.1461 0.0000 0.3568 [1 per cell]
P 0.4780 0.0000 0.8405 [1 per cell]
P 0.7000 0.5000 0.0375 [1 per cell]
P 0.9779 0.5000 0.5439 [1 per cell]
O 0.2353 0.0000 0.4974 [1 per cell]
O 0.2743 0.5000 0.5720 [1 per cell]
O 0.2892 0.1963 0.2774 [2 per cell]
O 0.3546 0.2055 0.7704 [2 per cell]
O 0.3863 0.0000 0.9876 [1 per cell]
O 0.4144 0.5000 0.0905 [1 per cell]
O 0.7084 0.5000 0.8875 [1 per cell]
O 0.7837 0.0000 0.8391 [1 per cell]
O 0.8258 0.3018 0.6111 [2 per cell]
O 0.8494 0.2852 0.0907 [2 per cell]
O 0.8527 0.0000 0.3324 [1 per cell]
O 0.9384 0.5000 0.3924 [1 per cell]

Principal peaks in the range 10° ≤ 2θ ≤ 80°, in order of falling intensity:
2θ/deg, I_rel, hkl
29.9, 100.0, 0 2 0
19.6, 96.2, 1 0 1
35.1, 79.0, 1 1 -3
24.6, 78.1, 1 1 -1
17.4, 55.3, 0 0 2
24.8, 46.8, 1 0 2
35.2, 42.2, 1 1 3
29.0, 37.2, 1 1 2
36.0, 31.9, 1 2 1
56.5, 29.2, 1 3 -3